(1)
Diffraction record for Nd2NCl3. The X-ray diffraction stick pattern is calculated, not measured: it uses a cell relaxed with PBE and copper Kα.

Most intense lines, 10° ≤ 2θ ≤ 90°, by intensity:
Position (°2θ), I/Imax
23.2, 1000
35.7, 533
32.7, 431
14.4, 299
28.4, 210
39.7, 194
13.1, 193
47.2, 184
31.9, 170
60.4, 156
49.7, 145
39.1, 144

Structural model:
```
Nd2NCl3
1.0
13.5542 0.0000 0.0000
0.0000 6.9121 0.0000
0.0000 0.0000 6.2931
Nd N Cl
8 4 12
direct
0.0921 0.1748 0.0065
0.0921 0.8252 0.5065
0.4079 0.3252 0.5065
0.4079 0.6748 0.0065
0.5921 0.3252 0.9935
0.5921 0.6748 0.4935
0.9079 0.1748 0.4935
0.9079 0.8252 0.9935
0.0000 0.0076 0.7500
0.0000 0.9924 0.2500
0.5000 0.4924 0.2500
0.5000 0.5076 0.7500
0.0000 0.4985 0.7500
0.0000 0.5015 0.2500
0.2179 0.1384 0.3963
0.2179 0.8616 0.8963
0.2821 0.3616 0.8963
0.2821 0.6384 0.3963
0.5000 0.0015 0.2500
0.5000 0.9985 0.7500
0.7179 0.3616 0.6037
0.7179 0.6384 0.1037
0.7821 0.1384 0.1037
0.7821 0.8616 0.6037
```

---

(2)
Diffraction record for Os2N4Cl10O. The X-ray diffraction stick pattern is calculated, not measured: it uses a cell relaxed with PBE and copper Kα.

Most intense lines, 10° ≤ 2θ ≤ 90°, by intensity:
Position (°2θ), I/Imax
13.2, 1000
17.1, 388
34.7, 238
27.8, 211
29.0, 175
21.0, 159
27.2, 154
45.0, 126
19.9, 119
38.2, 99
52.6, 98
40.9, 98

Structural model:
```
Os2N4Cl10O
1.0
-3.6601 3.6601 8.4694
3.6601 -3.6601 8.4694
3.6601 3.6601 -8.4694
Os N Cl O
2 4 10 1
direct
0.1095 0.1095 0.0000
0.8905 0.8905 0.0000
0.0000 0.5000 0.5000
0.2500 0.7500 0.5000
0.5000 0.0000 0.5000
0.7500 0.2500 0.5000
0.1135 0.1135 0.4459
0.1135 0.6676 0.0000
0.2432 0.2432 0.0000
0.3324 0.3324 0.4459
0.3324 0.8865 0.0000
0.6676 0.1135 0.0000
0.6676 0.6676 0.5541
0.7568 0.7568 0.0000
0.8865 0.3324 0.0000
0.8865 0.8865 0.5541
0.0000 0.0000 0.0000
```

---

(3)
Diffraction record for Ru3N12Cl8O6. The X-ray diffraction stick pattern is calculated, not measured: it uses a cell relaxed with PBE and copper Kα.

Most intense lines, 10° ≤ 2θ ≤ 90°, by intensity:
Position (°2θ), I/Imax
14.7, 1000
24.1, 674
19.4, 528
36.6, 331
27.7, 325
30.8, 205
20.3, 178
32.7, 176
29.5, 170
18.9, 148
24.7, 141
52.2, 139

Structural model:
```
Ru3N12Cl8O6
1.0
-2.7418 4.5850 11.9747
2.7418 -4.5850 11.9747
2.7418 4.5850 -11.9747
Ru N Cl O
3 12 8 6
direct
0.0000 0.0000 0.0000
0.2880 0.2880 0.0000
0.7120 0.7120 0.0000
0.0574 0.2957 0.2383
0.0574 0.8192 0.7617
0.2412 0.0026 0.7615
0.2412 0.4797 0.2385
0.3788 0.1036 0.7248
0.3788 0.6541 0.2752
0.6212 0.3459 0.7248
0.6212 0.8964 0.2752
0.7588 0.5203 0.7615
0.7588 0.9974 0.2385
0.9426 0.1808 0.2383
0.9426 0.7043 0.7617
0.0843 0.5843 0.5000
0.2375 0.8810 0.3565
0.3204 0.5000 0.8204
0.4755 0.1190 0.3565
0.5245 0.8810 0.6435
0.6796 0.5000 0.1796
0.7625 0.1190 0.6435
0.9157 0.4157 0.5000
0.1651 0.3302 0.8349
0.4334 0.0000 0.4334
0.4954 0.3302 0.1651
0.5046 0.6698 0.8349
0.5666 0.0000 0.5666
0.8349 0.6698 0.1651
```

---

What did the first record say?
Diffraction record for Nd2NCl3. The X-ray diffraction stick pattern is calculated, not measured: it uses a cell relaxed with PBE and copper Kα.

Most intense lines, 10° ≤ 2θ ≤ 90°, by intensity:
Position (°2θ), I/Imax
23.2, 1000
35.7, 533
32.7, 431
14.4, 299
28.4, 210
39.7, 194
13.1, 193
47.2, 184
31.9, 170
60.4, 156
49.7, 145
39.1, 144

Structural model:
```
Nd2NCl3
1.0
13.5542 0.0000 0.0000
0.0000 6.9121 0.0000
0.0000 0.0000 6.2931
Nd N Cl
8 4 12
direct
0.0921 0.1748 0.0065
0.0921 0.8252 0.5065
0.4079 0.3252 0.5065
0.4079 0.6748 0.0065
0.5921 0.3252 0.9935
0.5921 0.6748 0.4935
0.9079 0.1748 0.4935
0.9079 0.8252 0.9935
0.0000 0.0076 0.7500
0.0000 0.9924 0.2500
0.5000 0.4924 0.2500
0.5000 0.5076 0.7500
0.0000 0.4985 0.7500
0.0000 0.5015 0.2500
0.2179 0.1384 0.3963
0.2179 0.8616 0.8963
0.2821 0.3616 0.8963
0.2821 0.6384 0.3963
0.5000 0.0015 0.2500
0.5000 0.9985 0.7500
0.7179 0.3616 0.6037
0.7179 0.6384 0.1037
0.7821 0.1384 0.1037
0.7821 0.8616 0.6037
```